1.
Diffraction record for NaLaY2Te4. The powder X-ray diffraction pattern is theoretical, not measured: it uses a cell relaxed with GGA-PBE and λ = 1.5418 Å (Cu Kα).

Structural model:
```
NaLaY2Te4
1.0
7.703 0.000 0.000
0.000 4.419 0.000
-2.533 0.000 7.405
Na La Y Te
1 1 2 4
Cartesian
0.000 0.000 0.000
3.851 2.209 0.000
-1.267 2.209 3.702
2.585 0.000 3.702
-0.010 0.000 5.466
1.272 2.209 1.935
3.897 2.209 5.470
5.179 0.000 1.939
```

Main lines, low angle first (2θ = 15–90°):
- 3.158 Å, 2θ = 28.3°, rel. 100.0
- 2.257 Å, 2θ = 39.9°, rel. 12.7
- 2.246 Å, 2θ = 40.1°, rel. 25.3
- 2.220 Å, 2θ = 40.6°, rel. 24.8
- 2.209 Å, 2θ = 40.8°, rel. 12.3
- 1.851 Å, 2θ = 49.2°, rel. 6.8
- 1.810 Å, 2θ = 50.4°, rel. 13.2
- 1.579 Å, 2θ = 58.5°, rel. 12.3
- 1.419 Å, 2θ = 65.8°, rel. 11.1
- 1.406 Å, 2θ = 66.5°, rel. 11.3


2.
Diffraction record for Li2CeBi2. The powder X-ray diffraction pattern is theoretical, not measured: it uses a cell relaxed with GGA-PBE and λ = 1.5418 Å (Cu Kα).

Structural model:
```
Li2CeBi2
1.0
4.673 0.000 0.000
-2.337 4.047 0.000
0.000 0.000 7.462
Li Ce Bi
2 1 2
Cartesian
0.000 2.698 2.768
2.337 1.349 4.694
0.000 0.000 0.000
0.000 2.698 5.719
2.337 1.349 1.743
```

Main lines, low angle first (2θ = 15–90°):
- 3.558 Å, 2θ = 25.0°, rel. 100.0
- 2.743 Å, 2θ = 32.6°, rel. 46.5
- 2.337 Å, 2θ = 38.5°, rel. 38.4
- 2.119 Å, 2θ = 42.7°, rel. 29.2
- 1.953 Å, 2θ = 46.5°, rel. 19.7
- 1.779 Å, 2θ = 51.4°, rel. 13.2
- 1.499 Å, 2θ = 61.9°, rel. 17.1
- 1.458 Å, 2θ = 63.8°, rel. 14.6
- 1.415 Å, 2θ = 66.0°, rel. 12.6
- 1.303 Å, 2θ = 72.5°, rel. 12.6


3.
Diffraction record for Al2InSnS6. The powder X-ray diffraction pattern is theoretical, not measured: it uses a cell relaxed with GGA-PBE and λ = 1.5418 Å (Cu Kα).

Structural model:
```
Al2InSnS6
1.0
6.142 -5.802 0.000
6.142 5.802 0.000
-1.386 0.000 6.354
Al In Sn S
4 2 2 12
Cartesian
1.905 1.011 1.905
1.212 -1.011 5.082
9.685 1.011 1.272
8.992 -1.011 4.449
5.795 3.256 1.588
5.102 -3.256 4.765
5.102 1.183 4.765
5.795 -1.183 1.588
0.815 0.867 3.891
3.299 2.916 5.626
1.507 -0.867 0.714
4.170 1.092 2.256
6.905 2.916 3.904
3.477 -1.092 5.433
7.421 1.092 0.921
3.992 -2.916 2.449
6.728 -1.092 4.097
9.390 0.867 5.639
7.598 -2.916 0.727
10.083 -0.867 2.462
```

Main lines, low angle first (2θ = 15–90°):
- 3.782 Å, 2θ = 23.5°, rel. 24.5
- 3.751 Å, 2θ = 23.7°, rel. 40.6
- 3.277 Å, 2θ = 27.2°, rel. 100.0
- 3.177 Å, 2θ = 28.1°, rel. 34.8
- 2.698 Å, 2θ = 33.2°, rel. 70.6
- 2.642 Å, 2θ = 33.9°, rel. 23.8
- 2.589 Å, 2θ = 34.7°, rel. 37.3
- 1.890 Å, 2θ = 48.2°, rel. 46.3
- 1.883 Å, 2θ = 48.3°, rel. 21.0
- 1.847 Å, 2θ = 49.3°, rel. 38.3


4.
Diffraction record for Th2U2Te7. The powder X-ray diffraction pattern is theoretical, not measured: it uses a cell relaxed with GGA-PBE and λ = 1.5418 Å (Cu Kα).

Structural model:
```
Th2U2Te7
1.0
5.294 0.000 0.000
0.000 5.294 0.000
0.000 0.000 14.771
Th U Te
2 2 7
Cartesian
0.000 2.647 1.967
2.647 0.000 12.804
0.000 2.647 9.169
2.647 0.000 5.602
0.000 0.000 3.504
0.000 0.000 7.385
0.000 0.000 11.267
2.647 2.647 0.000
2.647 2.647 3.765
2.647 2.647 7.385
2.647 2.647 11.006
```

Main lines, low angle first (2θ = 15–90°):
- 4.303 Å, 2θ = 20.6°, rel. 92.9
- 2.647 Å, 2θ = 33.9°, rel. 52.5
- 2.629 Å, 2θ = 34.1°, rel. 100.0
- 2.254 Å, 2θ = 40.0°, rel. 35.3
- 2.232 Å, 2θ = 40.4°, rel. 16.2
- 1.872 Å, 2θ = 48.7°, rel. 19.1
- 1.706 Å, 2θ = 53.7°, rel. 14.4
- 1.525 Å, 2θ = 60.7°, rel. 38.4
- 1.514 Å, 2θ = 61.2°, rel. 17.2
- 1.314 Å, 2θ = 71.8°, rel. 10.8


5.
Diffraction record for Y6AgHg5. The powder X-ray diffraction pattern is theoretical, not measured: it uses a cell relaxed with GGA-PBE and λ = 1.5418 Å (Cu Kα).

Structural model:
```
Y6AgHg5
1.0
5.235 0.000 0.000
0.000 7.457 0.000
-2.595 0.000 7.870
Y Ag Hg
6 1 5
Cartesian
0.000 1.849 0.000
0.000 5.608 0.000
0.015 1.850 5.262
0.015 5.606 5.262
2.625 1.850 2.608
2.625 5.606 2.608
2.618 0.000 0.000
0.008 0.000 2.596
0.007 3.728 2.625
2.618 3.728 0.000
2.633 3.728 5.245
2.632 0.000 5.274
```

Main lines, low angle first (2θ = 15–90°):
- 3.706 Å, 2θ = 24.0°, rel. 10.9
- 2.627 Å, 2θ = 34.1°, rel. 100.0
- 2.618 Å, 2θ = 34.3°, rel. 19.8
- 1.864 Å, 2θ = 48.9°, rel. 7.3
- 1.856 Å, 2θ = 49.1°, rel. 7.2
- 1.850 Å, 2θ = 49.2°, rel. 7.1
- 1.519 Å, 2θ = 61.0°, rel. 14.9
- 1.516 Å, 2θ = 61.2°, rel. 14.7
- 1.513 Å, 2θ = 61.3°, rel. 14.7
- 1.313 Å, 2θ = 71.9°, rel. 6.8


6.
Diffraction record for Er2InNi2. The powder X-ray diffraction pattern is theoretical, not measured: it uses a cell relaxed with GGA-PBE and λ = 1.5418 Å (Cu Kα).

Structural model:
```
Er2InNi2
1.0
7.349 0.000 0.000
0.000 7.349 0.000
0.000 0.000 3.629
Er In Ni
4 2 4
Cartesian
1.287 2.387 0.000
2.387 6.062 0.000
4.962 1.287 0.000
6.062 4.962 0.000
0.000 0.000 1.815
3.674 3.674 1.815
0.881 4.555 1.815
2.793 0.881 1.815
4.555 6.468 1.815
6.468 2.793 1.815
```

Main lines, low angle first (2θ = 15–90°):
- 3.286 Å, 2θ = 27.1°, rel. 22.8
- 2.598 Å, 2θ = 34.5°, rel. 15.1
- 2.582 Å, 2θ = 34.7°, rel. 56.4
- 2.436 Å, 2θ = 36.9°, rel. 100.0
- 2.324 Å, 2θ = 38.7°, rel. 43.1
- 1.815 Å, 2θ = 50.3°, rel. 15.9
- 1.782 Å, 2θ = 51.3°, rel. 15.6
- 1.600 Å, 2θ = 57.6°, rel. 18.8
- 1.563 Å, 2θ = 59.1°, rel. 17.9
- 1.430 Å, 2θ = 65.2°, rel. 18.0


7.
Diffraction record for Pr2AgAuO5. The powder X-ray diffraction pattern is theoretical, not measured: it uses a cell relaxed with GGA-PBE and λ = 1.5418 Å (Cu Kα).

Structural model:
```
Pr2AgAuO5
1.0
6.921 0.000 0.000
0.000 6.921 0.000
0.000 0.000 5.889
Pr Ag Au O
4 2 2 10
Cartesian
1.227 2.233 0.000
2.233 5.694 0.000
4.688 1.227 0.000
5.694 4.688 0.000
0.000 0.000 2.944
3.460 3.460 2.944
0.000 3.460 2.944
3.460 0.000 2.944
0.000 0.000 0.000
0.928 4.388 1.433
0.928 4.388 4.455
2.533 0.928 1.433
2.533 0.928 4.455
3.460 3.460 0.000
4.388 5.993 1.433
4.388 5.993 4.455
5.993 2.533 1.433
5.993 2.533 4.455
```

Main lines, low angle first (2θ = 15–90°):
- 4.894 Å, 2θ = 18.1°, rel. 17.6
- 2.983 Å, 2θ = 30.0°, rel. 100.0
- 2.944 Å, 2θ = 30.4°, rel. 32.6
- 2.740 Å, 2θ = 32.7°, rel. 29.0
- 2.447 Å, 2θ = 36.7°, rel. 25.1
- 2.133 Å, 2θ = 42.4°, rel. 21.9
- 2.051 Å, 2θ = 44.1°, rel. 16.5
- 1.882 Å, 2θ = 48.4°, rel. 22.6
- 1.707 Å, 2θ = 53.7°, rel. 19.6
- 1.659 Å, 2θ = 55.4°, rel. 18.1


8.
Diffraction record for Dy5Hg2Bi. The powder X-ray diffraction pattern is theoretical, not measured: it uses a cell relaxed with GGA-PBE and λ = 1.5418 Å (Cu Kα).

Structural model:
```
Dy5Hg2Bi
1.0
-4.166 4.166 6.547
4.166 -4.166 6.547
4.166 4.166 -6.547
Dy Hg Bi
10 4 2
Cartesian
0.000 0.000 0.000
5.434 1.268 -1.917
1.268 2.898 -1.917
5.434 1.268 1.917
1.268 2.898 1.917
0.000 0.000 6.547
2.898 1.268 4.631
-1.268 2.898 4.631
2.898 1.268 8.464
-1.268 2.898 8.464
2.988 1.179 0.000
2.988 -1.179 6.547
1.179 5.345 0.000
1.179 2.988 6.547
0.000 0.000 3.274
0.000 0.000 9.821
```

Main lines, low angle first (2θ = 15–90°):
- 2.946 Å, 2θ = 30.3°, rel. 9.9
- 2.862 Å, 2θ = 31.3°, rel. 13.5
- 2.834 Å, 2θ = 31.6°, rel. 100.0
- 2.635 Å, 2θ = 34.0°, rel. 63.5
- 2.574 Å, 2θ = 34.9°, rel. 14.6
- 2.143 Å, 2θ = 42.2°, rel. 10.3
- 2.044 Å, 2θ = 44.3°, rel. 12.0
- 1.459 Å, 2θ = 63.8°, rel. 27.9
- 1.390 Å, 2θ = 67.4°, rel. 18.2
- 1.094 Å, 2θ = 89.6°, rel. 12.2


9.
Diffraction record for Cs4Mn3PbCl12. The powder X-ray diffraction pattern is theoretical, not measured: it uses a cell relaxed with GGA-PBE and λ = 1.5418 Å (Cu Kα).

Structural model:
```
Cs4Mn3PbCl12
1.0
-5.294 5.294 5.294
5.294 -5.294 5.294
5.294 5.294 -5.294
Cs Mn Pb Cl
4 3 1 12
Cartesian
2.647 2.647 -2.647
2.647 -2.647 2.647
-2.647 2.647 2.647
2.647 2.647 2.647
5.294 0.000 0.000
0.000 5.294 0.000
0.000 0.000 5.294
0.000 0.000 0.000
2.841 0.000 0.000
7.746 0.000 0.000
5.294 2.647 0.000
5.294 0.000 2.647
0.000 2.841 0.000
0.000 0.000 2.841
2.647 5.294 0.000
2.647 0.000 5.294
0.000 7.746 0.000
0.000 0.000 7.746
0.000 5.294 2.647
0.000 2.647 5.294
```

Main lines, low angle first (2θ = 15–90°):
- 3.743 Å, 2θ = 23.8°, rel. 100.0
- 3.056 Å, 2θ = 29.2°, rel. 24.1
- 2.647 Å, 2θ = 33.9°, rel. 62.3
- 2.161 Å, 2θ = 41.8°, rel. 45.0
- 1.872 Å, 2θ = 48.6°, rel. 41.7
- 1.674 Å, 2θ = 54.8°, rel. 21.5
- 1.528 Å, 2θ = 60.6°, rel. 13.9
- 1.415 Å, 2θ = 66.0°, rel. 24.3
- 1.248 Å, 2θ = 76.3°, rel. 11.6
- 1.184 Å, 2θ = 81.3°, rel. 17.6


10.
Diffraction record for Nd2HoTl2Zn2. The powder X-ray diffraction pattern is theoretical, not measured: it uses a cell relaxed with GGA-PBE and λ = 1.5418 Å (Cu Kα).

Structural model:
```
Nd2HoTl2Zn2
1.0
2.379 1.373 9.479
-2.379 1.373 9.479
0.000 -2.747 9.479
Nd Ho Tl Zn
2 1 2 2
Cartesian
0.000 0.000 3.566
0.000 0.000 24.870
0.000 0.000 0.000
0.000 0.000 7.582
0.000 0.000 20.854
0.000 0.000 11.023
0.000 0.000 17.413
```

Main lines, low angle first (2θ = 15–90°):
- 4.078 Å, 2θ = 21.8°, rel. 19.4
- 2.893 Å, 2θ = 30.9°, rel. 63.3
- 2.691 Å, 2θ = 33.3°, rel. 99.4
- 2.379 Å, 2θ = 37.8°, rel. 100.0
- 1.837 Å, 2θ = 49.6°, rel. 17.2
- 1.782 Å, 2θ = 51.3°, rel. 29.5
- 1.483 Å, 2θ = 62.7°, rel. 32.1
- 1.454 Å, 2θ = 64.0°, rel. 16.1
- 1.426 Å, 2θ = 65.4°, rel. 28.2
- 1.373 Å, 2θ = 68.3°, rel. 17.6


11.
Diffraction record for Sr3Tl2Hg2. The powder X-ray diffraction pattern is theoretical, not measured: it uses a cell relaxed with GGA-PBE and λ = 1.5418 Å (Cu Kα).

Structural model:
```
Sr3Tl2Hg2
1.0
4.605 0.000 0.000
0.000 24.959 0.000
0.000 0.000 4.037
Sr Tl Hg
6 4 4
Cartesian
0.000 0.000 0.000
0.000 3.985 0.000
0.000 20.975 0.000
2.302 8.495 0.000
2.302 12.480 0.000
2.302 16.464 0.000
0.000 10.511 2.018
0.000 14.448 2.018
2.302 1.969 2.018
2.302 22.991 2.018
0.000 7.126 2.018
0.000 17.833 2.018
2.302 5.353 2.018
2.302 19.606 2.018
```

Main lines, low angle first (2θ = 15–90°):
- 4.036 Å, 2θ = 22.0°, rel. 38.5
- 3.013 Å, 2θ = 29.6°, rel. 93.0
- 2.897 Å, 2θ = 30.9°, rel. 59.9
- 2.819 Å, 2θ = 31.7°, rel. 100.0
- 2.311 Å, 2θ = 39.0°, rel. 36.6
- 2.302 Å, 2θ = 39.1°, rel. 32.5
- 2.018 Å, 2θ = 44.9°, rel. 24.1
- 1.803 Å, 2θ = 50.6°, rel. 31.2
- 1.641 Å, 2θ = 56.0°, rel. 40.6
- 1.156 Å, 2θ = 83.7°, rel. 22.8


12.
Diffraction record for Li3CuCl4. The powder X-ray diffraction pattern is theoretical, not measured: it uses a cell relaxed with GGA-PBE and λ = 1.5418 Å (Cu Kα).

Structural model:
```
Li3CuCl4
1.0
1.944 1.122 12.634
-1.944 1.122 12.634
0.000 -2.245 12.634
Li Cu Cl
3 1 4
Cartesian
0.000 0.000 0.000
0.000 0.000 9.443
0.000 0.000 18.883
0.000 0.000 28.395
0.000 0.000 2.401
0.000 0.000 11.835
0.000 0.000 21.277
0.000 0.000 30.748
```

Main lines, low angle first (2θ = 15–90°):
- 3.354 Å, 2θ = 26.6°, rel. 16.4
- 3.315 Å, 2θ = 26.9°, rel. 16.3
- 3.173 Å, 2θ = 28.1°, rel. 100.0
- 3.159 Å, 2θ = 28.3°, rel. 33.9
- 3.077 Å, 2θ = 29.0°, rel. 14.0
- 1.944 Å, 2θ = 46.7°, rel. 40.4
- 1.937 Å, 2θ = 46.9°, rel. 39.7
- 1.656 Å, 2θ = 55.5°, rel. 36.6
- 1.372 Å, 2θ = 68.4°, rel. 11.6
- 1.121 Å, 2θ = 86.9°, rel. 12.1